No. 1
For Ba2NaAcF8, the PBE geometry in Alexandria gives the theoretical X-ray diffraction stick pattern in this record (a wavelength of 1.5418 Å).

Cell and atoms:
```
data_Ba2NaAcF8
_chemical_formula_sum 'Ba4 Na2 Ac2 F16'
_symmetry_space_group_name_H-M 'I -4 m 2'
_symmetry_Int_Tables_number 119
_symmetry_space_group_name_Hall 'I -4 -2'
_cell_length_a 6.1077
_cell_length_b 6.1077
_cell_length_c 12.1587
_cell_angle_alpha 90.00
_cell_angle_beta 90.00
_cell_angle_gamma 90.00
loop_
_atom_site_label
_atom_site_type_symbol
_atom_site_fract_x
_atom_site_fract_y
_atom_site_fract_z
Ba1 Ba 0.0000 0.0000 0.0000
Ba2 Ba 0.0000 0.5000 0.2500
Na1 Na 0.0000 0.0000 0.5000
Ac1 Ac 0.0000 0.5000 0.7500
F1 F 0.2366 0.2587 0.6293
```

Top 10 peaks for 10° ≤ 2θ ≤ 90°, low angle first:
h k l  2θ (°)  Rel. int.
0 0 2  14.57  141
1 0 1  16.24  218
1 1 2  25.30  1000
2 0 0  29.24  160
2 2 0  41.83  220
2 0 4  41.94  438
3 1 2  49.52  323
1 1 6  49.70  160
3 1 6  66.93  132
4 2 4  76.46  134

***

No. 2
For BaNa2AcF8, the PBE geometry in Alexandria gives the theoretical X-ray diffraction stick pattern in this record (a wavelength of 1.5418 Å).

Cell and atoms:
```
data_BaNa2AcF8
_chemical_formula_sum 'Ba2 Na4 Ac2 F16'
_symmetry_space_group_name_H-M 'I -4'
_symmetry_Int_Tables_number 82
_symmetry_space_group_name_Hall 'I -4'
_cell_length_a 5.9411
_cell_length_b 5.9411
_cell_length_c 12.2555
_cell_angle_alpha 90.00
_cell_angle_beta 90.00
_cell_angle_gamma 90.00
loop_
_atom_site_label
_atom_site_type_symbol
_atom_site_fract_x
_atom_site_fract_y
_atom_site_fract_z
Ba1 Ba 0.0000 0.0000 0.0000
Na1 Na 0.0000 0.0000 0.5000
Na2 Na 0.0000 0.5000 0.2500
Ac1 Ac 0.0000 0.5000 0.7500
F1 F 0.1732 0.2727 0.5992
F2 F 0.2001 0.7680 0.1620
```

Top 10 peaks for 10° ≤ 2θ ≤ 90°, low angle first:
h k l  2θ (°)  Rel. int.
1 0 1  16.58  911
1 1 2  25.71  1000
1 0 3  26.48  222
2 0 0  30.08  149
2 1 1  34.54  306
1 2 3  40.50  234
2 0 4  42.38  397
2 2 0  43.06  201
1 1 6  49.63  176
1 3 2  50.83  329

***

Number 2 is which compound?
BaNa2AcF8

***

What did the second record say?
For BaNa2AcF8, the PBE geometry in Alexandria gives the theoretical X-ray diffraction stick pattern in this record (a wavelength of 1.5418 Å).

Cell and atoms:
```
data_BaNa2AcF8
_chemical_formula_sum 'Ba2 Na4 Ac2 F16'
_symmetry_space_group_name_H-M 'I -4'
_symmetry_Int_Tables_number 82
_symmetry_space_group_name_Hall 'I -4'
_cell_length_a 5.9411
_cell_length_b 5.9411
_cell_length_c 12.2555
_cell_angle_alpha 90.00
_cell_angle_beta 90.00
_cell_angle_gamma 90.00
loop_
_atom_site_label
_atom_site_type_symbol
_atom_site_fract_x
_atom_site_fract_y
_atom_site_fract_z
Ba1 Ba 0.0000 0.0000 0.0000
Na1 Na 0.0000 0.0000 0.5000
Na2 Na 0.0000 0.5000 0.2500
Ac1 Ac 0.0000 0.5000 0.7500
F1 F 0.1732 0.2727 0.5992
F2 F 0.2001 0.7680 0.1620
```

Top 10 peaks for 10° ≤ 2θ ≤ 90°, low angle first:
h k l  2θ (°)  Rel. int.
1 0 1  16.58  911
1 1 2  25.71  1000
1 0 3  26.48  222
2 0 0  30.08  149
2 1 1  34.54  306
1 2 3  40.50  234
2 0 4  42.38  397
2 2 0  43.06  201
1 1 6  49.63  176
1 3 2  50.83  329

***

Which formula does entry 1 have?
Ba2NaAcF8